Mn4ZnF10: simulated powder X-ray diffraction pattern (Cu Ka), based on the PBE+U geometry in Alexandria.

Principal peaks in the range 2θ = 15–90°, by intensity:
hkl 0 1 5, 29.68°, I 100.0
hkl 1 1 0, 49.45°, I 87.3
hkl 2 0 5, 58.75°, I 37.7
hkl 2 0 20, 72.53°, I 11.2
hkl 1 2 5, 80.32°, I 7.1
hkl 0 2 25, 80.24°, I 6.8
hkl 1 0 10, 34.41°, I 5.4
hkl 2 1 10, 82.81°, I 3.0

Structural model:
```
data_Mn4ZnF10
_chemical_formula_sum 'Mn12 Zn3 F30'
_space_group_name_H-M_alt 'R -3 m'
_space_group_IT_number 166
_space_group_name_Hall '-R 3 2"'
_cell_length_a 3.6845
_cell_length_b 3.6845
_cell_length_c 45.1836
_cell_angle_alpha 90.00
_cell_angle_beta 90.00
_cell_angle_gamma 120.00
loop_
_atom_site_label
_atom_site_type_symbol
_atom_site_fract_x
_atom_site_fract_y
_atom_site_fract_z
Mn1 Mn 0.0000 0.0000 0.1017
Mn2 Mn 0.0000 0.0000 0.2994
Zn1 Zn 0.0000 0.0000 0.5000
F1 F 0.0000 0.0000 0.0508
F2 F 0.0000 0.0000 0.1513
F3 F 0.0000 0.0000 0.2486
F4 F 0.0000 0.0000 0.3503
F5 F 0.0000 0.0000 0.4521
```